[1]
Calculated powder X-ray diffraction pattern
Compound: Sr2GdTaO6
Radiation: Cu Ka
Structure: a structure optimized by DFT (GGA-PBE)

Peak list (12 most intense, 10 to 90 degrees two-theta, low angle first)
d/Å	2θ (°)	Rel. int.
4.191	21.20	28
3.004	29.74	24
2.962	30.17	100
2.928	30.53	24
2.097	43.14	25
2.092	43.25	13
1.726	53.05	18
1.717	53.37	11
1.699	53.97	16
1.696	54.08	12
1.480	62.80	8
1.323	71.26	9

```
20
Lattice="5.8568 0.0000 0.0000 0.0000 6.0086 0.0000 -5.8386 0.0000 8.3674" Properties=species:S:1:pos:R:3 pbc="T T T"
Sr -0.0603 0.2621 2.1136
Sr -2.9795 2.7422 6.2972
Sr 2.9978 3.2664 2.0701
Sr 0.0785 5.7465 6.2538
Gd 2.9284 0.0000 0.0000
Gd 0.0091 3.0043 4.1837
Ta -2.9193 0.0000 4.1837
Ta 0.0000 3.0043 0.0000
O -4.7253 1.3664 7.9466
O -1.8060 1.6379 3.7629
O -4.2272 4.1567 8.0212
O -1.3079 4.8562 3.8375
O -2.4121 0.1851 6.1256
O 0.5072 2.8193 1.9419
O -0.4889 3.1894 6.4255
O 2.4304 5.8236 2.2418
O 1.3261 1.1524 4.5298
O 4.2454 1.8519 0.3462
O 1.8242 4.3707 4.6044
O 4.7435 4.6422 0.4208
```


[2]
Calculated powder X-ray diffraction pattern
Compound: Gd3TaO7
Radiation: Cu Ka
Structure: a structure optimized by DFT (GGA-PBE)

Peak list (12 most intense, 10 to 90 degrees two-theta, low angle first)
d/Å	2θ (°)	Rel. int.
3.107	28.73	95
3.096	28.84	100
2.686	33.36	72
1.997	45.41	7
1.900	47.87	57
1.893	48.06	17
1.746	52.40	6
1.621	56.78	40
1.617	56.96	27
1.548	59.74	11
1.232	77.50	9
1.094	89.58	8

```
44
Lattice="7.5720 0.0000 0.0000 0.0000 10.7570 0.0000 0.0000 0.0000 7.6134" Properties=species:S:1:pos:R:3 pbc="T T T"
Gd 0.0870 2.6893 1.5881
Gd 1.8763 0.2171 4.0662
Gd 1.8763 5.1614 4.0662
Gd 1.9097 5.5956 0.2595
Gd 1.9097 10.5399 0.2595
Gd 3.6990 8.0678 5.3949
Gd 3.8730 2.6893 2.2186
Gd 5.6622 0.2171 7.3540
Gd 5.6622 5.1614 7.3540
Gd 5.6957 5.5956 3.5472
Gd 5.6957 10.5399 3.5472
Gd 7.4849 8.0678 6.0253
Ta 0.0092 2.6893 5.7004
Ta 3.7768 8.0678 1.8937
Ta 3.7952 2.6893 5.7197
Ta 7.5628 8.0678 1.9130
O 0.2589 1.3517 7.2424
O 0.2589 4.0268 7.2424
O 0.2870 6.6098 3.1730
O 0.2870 9.5257 3.1730
O 1.8567 6.6343 5.8502
O 1.8567 9.5012 5.8502
O 1.8790 2.6893 5.1297
O 1.9070 8.0678 1.3229
O 1.9293 1.2558 2.0434
O 1.9293 4.1227 2.0434
O 3.4990 1.2313 6.9797
O 3.4990 4.1472 6.9797
O 3.5270 6.7302 3.4357
O 3.5270 9.4053 3.4357
O 4.0449 1.3517 4.1778
O 4.0449 4.0268 4.1778
O 4.0730 6.6098 0.6338
O 4.0730 9.5257 0.6338
O 5.6427 6.6343 5.5700
O 5.6427 9.5012 5.5700
O 5.6650 2.6893 6.2905
O 5.6930 8.0678 2.4838
O 5.7153 1.2558 1.7633
O 5.7153 4.1227 1.7633
O 7.2850 1.2313 4.4405
O 7.2850 4.1472 4.4405
O 7.3130 6.7302 0.3711
O 7.3130 9.4053 0.3711
```


[3]
Calculated powder X-ray diffraction pattern
Compound: Gd3TaO7
Radiation: Cu Ka
Structure: a structure optimized by DFT (GGA-PBE)

Peak list (12 most intense, 10 to 90 degrees two-theta, low angle first)
d/Å	2θ (°)	Rel. int.
3.104	28.76	100
3.062	29.17	94
2.694	33.26	24
2.658	33.72	47
1.899	47.91	17
1.892	48.10	51
1.623	56.70	12
1.617	56.94	11
1.614	57.08	28
1.596	57.78	19
1.552	59.57	11
1.232	77.51	15

```
22
Lattice="5.3871 -3.7210 0.0000 5.3871 3.7210 0.0000 0.0000 0.0000 7.5946" Properties=species:S:1:pos:R:3 pbc="T T T"
Gd 0.0000 0.0000 0.0000
Gd 0.0000 0.0000 3.7973
Gd 2.9147 1.5675 5.6959
Gd 2.9147 -1.5675 1.8986
Gd 7.8595 1.5675 5.6959
Gd 7.8595 -1.5675 1.8986
Ta 5.3871 0.0000 0.0000
Ta 5.3871 0.0000 3.7973
O 1.4193 0.1657 1.8986
O 1.4193 -0.1657 5.6959
O 4.0042 1.4168 0.2739
O 4.0042 1.4168 3.5234
O 5.3871 0.5676 5.6959
O 6.7701 1.4168 0.2739
O 6.7701 1.4168 3.5234
O 4.0042 -1.4168 4.0712
O 4.0042 -1.4168 7.3206
O 5.3871 -0.5676 1.8986
O 6.7701 -1.4168 4.0712
O 6.7701 -1.4168 7.3206
O 9.3549 0.1657 1.8986
O 9.3549 -0.1657 5.6959
```